Entry 1:
For Li9Ni10O20, a crystal structure in the Materials Project, relaxed with GGA+U gives the theoretical X-ray powder pattern in this record (Cu Kα (weighted mean of Kα1 and Kα2)).
Lines closer than 0.1° are merged.

Structure:
Cell lengths 6.4252, 7.5865, 7.5885 Å; angles 67.60, 88.77, 88.81 degrees
Fractional coordinates of all 39 atoms:
Li1 0.0000 0.0000 0.0000
Li2 0.1047 0.8960 0.3998
Li3 0.2052 0.7902 0.8059
Li4 0.3074 0.6900 0.1909
Li5 0.4013 0.5960 0.6089
Li6 0.5987 0.4040 0.3911
Li7 0.6926 0.3100 0.8091
Li8 0.7948 0.2098 0.1941
Li9 0.8953 0.1040 0.6002
Ni1 0.0000 0.5000 0.5000
Ni2 0.1023 0.4007 0.8988
Ni3 0.2002 0.3005 0.2990
Ni4 0.2980 0.1974 0.6998
Ni5 0.4016 0.1001 0.1004
Ni6 0.5000 0.0000 0.5000
Ni7 0.5984 0.8999 0.8996
Ni8 0.7020 0.8026 0.3002
Ni9 0.7998 0.6995 0.7010
Ni10 0.8977 0.5993 0.1012
O1 0.0185 0.2518 0.7557
O2 0.0838 0.6448 0.6443
O3 0.1236 0.1532 0.1577
O4 0.1743 0.5444 0.0479
O5 0.2216 0.0512 0.5544
O6 0.2790 0.4449 0.4417
O7 0.3207 0.9518 0.9551
O8 0.3791 0.3393 0.8427
O9 0.4212 0.8539 0.3594
O10 0.4862 0.2203 0.2721
O11 0.5138 0.7797 0.7279
O12 0.5788 0.1461 0.6406
O13 0.6209 0.6607 0.1573
O14 0.6793 0.0482 0.0449
O15 0.7210 0.5551 0.5583
O16 0.7784 0.9488 0.4456
O17 0.8257 0.4556 0.9521
O18 0.8764 0.8468 0.8424
O19 0.9162 0.3552 0.3557
O20 0.9815 0.7482 0.2443

The 10 most intense peaks (10° ≤ 2θ ≤ 90°), in order of falling intensity:
| Position (°2θ) | intensity |
| --- | --- |
| 18.60 | 100 |
| 45.06 | 42 |
| 42.85 | 25 |
| 63.93 | 25 |
| 37.22 | 24 |
| 35.47 | 18 |
| 48.47 | 14 |
| 37.71 | 11 |
| 59.21 | 10 |
| 38.57 | 10 |


Entry 2:
For Li2NbNi3O8, a crystal structure in the Materials Project, relaxed with GGA+U gives the theoretical X-ray powder pattern in this record (Cu Kα (weighted mean of Kα1 and Kα2)).
Lines closer than 0.1° are merged.

Structure:
Cell lengths 5.8762, 5.8762, 9.6364 Å; angles 90.00, 90.00, 120.00 degrees
Fractional coordinates of all 28 atoms:
Li1 0.0000 0.0000 0.0000
Li2 0.0000 0.0000 0.5000
Li3 0.3333 0.6667 0.4015
Li4 0.6667 0.3333 0.9015
Nb1 0.3333 0.6667 0.0037
Nb2 0.6667 0.3333 0.5037
Ni1 0.1685 0.3370 0.7230
Ni2 0.1685 0.8315 0.7230
Ni3 0.3370 0.1685 0.2230
Ni4 0.6630 0.8315 0.7230
Ni5 0.8315 0.1685 0.2230
Ni6 0.8315 0.6630 0.2230
O1 0.0000 0.0000 0.3101
O2 0.0000 0.0000 0.8101
O3 0.0341 0.5171 0.8500
O4 0.1639 0.3278 0.1002
O5 0.1639 0.8361 0.1002
O6 0.3278 0.1639 0.6002
O7 0.3333 0.6667 0.6258
O8 0.4829 0.5171 0.8500
O9 0.4829 0.9659 0.8500
O10 0.5171 0.0341 0.3500
O11 0.5171 0.4829 0.3500
O12 0.6667 0.3333 0.1258
O13 0.6722 0.8361 0.1002
O14 0.8361 0.1639 0.6002
O15 0.8361 0.6722 0.6002
O16 0.9659 0.4829 0.3500

The 10 most intense peaks (10° ≤ 2θ ≤ 90°), in order of falling intensity:
| Position (°2θ) | intensity |
| --- | --- |
| 19.73 | 100 |
| 35.80 | 53 |
| 36.52 | 49 |
| 32.98 | 47 |
| 45.48 | 40 |
| 60.24 | 39 |
| 25.46 | 34 |
| 63.31 | 33 |
| 18.41 | 29 |
| 55.70 | 24 |


Entry 3:
For FeH2C2O6, a crystal structure in the Materials Project, relaxed with GGA+U gives the theoretical X-ray powder pattern in this record (Cu Kα (weighted mean of Kα1 and Kα2)).
Lines closer than 0.1° are merged.

Structure:
Cell lengths 8.4713, 7.1733, 9.3373 Å; angles 90.00, 95.95, 90.00 degrees
Fractional coordinates of all 44 atoms:
Fe1 0.0000 0.0000 0.0000
Fe2 0.0000 0.5000 0.5000
Fe3 0.5000 0.0000 0.5000
Fe4 0.5000 0.5000 0.0000
H1 0.0866 0.2095 0.2707
H2 0.0866 0.2905 0.7707
H3 0.3271 0.5040 0.3667
H4 0.3271 0.9960 0.8667
H5 0.6729 0.0040 0.1333
H6 0.6729 0.4960 0.6333
H7 0.9134 0.7095 0.2293
H8 0.9134 0.7905 0.7293
C1 0.0299 0.7315 0.7697
C2 0.0299 0.7685 0.2697
C3 0.3260 0.1235 0.9337
C4 0.3260 0.3765 0.4337
C5 0.6740 0.6235 0.5663
C6 0.6740 0.8765 0.0663
C7 0.9701 0.2315 0.7303
C8 0.9701 0.2685 0.2303
O1 0.0915 0.6096 0.6943
O2 0.0915 0.8904 0.1943
O3 0.0959 0.7095 0.3898
O4 0.0959 0.7905 0.8898
O5 0.2052 0.1544 0.0009
O6 0.2052 0.3456 0.5009
O7 0.3168 0.0076 0.5959
O8 0.3168 0.4924 0.0959
O9 0.4462 0.2273 0.9330
O10 0.4462 0.2727 0.4330
O11 0.4505 0.5861 0.8185
O12 0.4505 0.9139 0.3185
O13 0.5495 0.0861 0.6815
O14 0.5495 0.4139 0.1815
O15 0.5538 0.7273 0.5670
O16 0.5538 0.7727 0.0670
O17 0.6832 0.5076 0.9041
O18 0.6832 0.9924 0.4041
O19 0.7948 0.6544 0.4991
O20 0.7948 0.8456 0.9991
O21 0.9041 0.2095 0.1102
O22 0.9041 0.2905 0.6102
O23 0.9085 0.1096 0.8057
O24 0.9085 0.3904 0.3057

The 10 most intense peaks (10° ≤ 2θ ≤ 90°), in order of falling intensity:
| Position (°2θ) | intensity |
| --- | --- |
| 19.40 | 100 |
| 18.28 | 93 |
| 21.09 | 41 |
| 19.11 | 39 |
| 34.25 | 20 |
| 34.73 | 18 |
| 26.01 | 18 |
| 40.70 | 14 |
| 31.51 | 13 |
| 24.50 | 11 |


Entry 4:
For Sr2NiIrO6, a crystal structure in the Materials Project, relaxed with GGA+U gives the theoretical X-ray powder pattern in this record (Cu Kα (weighted mean of Kα1 and Kα2)).
Lines closer than 0.1° are merged.

Structure:
Cell lengths 5.6434, 5.6434, 5.6434 Å; angles 120.41, 120.41, 89.28 degrees
Fractional coordinates of all 10 atoms:
Sr1 0.2500 0.7500 0.5000
Sr2 0.7500 0.2500 0.5000
Ni1 0.0000 0.0000 0.0000
Ir1 0.5000 0.5000 0.0000
O1 0.2228 0.2896 0.5124
O2 0.2565 0.2565 0.0000
O3 0.2896 0.7772 0.0668
O4 0.7104 0.2228 0.9332
O5 0.7435 0.7435 0.0000
O6 0.7772 0.7104 0.4876

The 10 most intense peaks (10° ≤ 2θ ≤ 90°), in order of falling intensity:
| Position (°2θ) | intensity |
| --- | --- |
| 31.71 | 100 |
| 31.92 | 51 |
| 56.75 | 41 |
| 19.30 | 34 |
| 45.76 | 30 |
| 56.36 | 21 |
| 66.25 | 19 |
| 45.16 | 16 |
| 37.57 | 13 |
| 75.87 | 9 |


Entry 5:
For BaSrCo4O12, a crystal structure in the Materials Project, relaxed with GGA+U gives the theoretical X-ray powder pattern in this record (Cu Kα (weighted mean of Kα1 and Kα2)).
Lines closer than 0.1° are merged.

Structure:
Cell lengths 5.4329, 5.4329, 7.6068 Å; angles 90.00, 90.00, 90.00 degrees
Fractional coordinates of all 18 atoms:
Ba1 0.0000 0.0000 0.0000
Sr1 0.5000 0.5000 0.5000
Co1 0.0000 0.5000 0.2525
Co2 0.0000 0.5000 0.7475
Co3 0.5000 0.0000 0.2525
Co4 0.5000 0.0000 0.7475
O1 0.0000 0.5000 0.0000
O2 0.0000 0.5000 0.5000
O3 0.2540 0.2540 0.2552
O4 0.2540 0.2540 0.7448
O5 0.2540 0.7460 0.2552
O6 0.2540 0.7460 0.7448
O7 0.5000 0.0000 0.0000
O8 0.5000 0.0000 0.5000
O9 0.7460 0.2540 0.2552
O10 0.7460 0.2540 0.7448
O11 0.7460 0.7460 0.2552
O12 0.7460 0.7460 0.7448

The 10 most intense peaks (10° ≤ 2θ ≤ 90°), in order of falling intensity:
| Position (°2θ) | intensity |
| --- | --- |
| 20.08 | 100 |
| 33.14 | 95 |
| 32.97 | 48 |
| 47.32 | 44 |
| 38.91 | 36 |
| 58.99 | 36 |
| 69.56 | 24 |
| 47.83 | 21 |
| 59.32 | 18 |
| 39.21 | 18 |


Entry 6:
For Li12MnCo3P4C4O28, a crystal structure in the Materials Project, relaxed with GGA+U gives the theoretical X-ray powder pattern in this record (Cu Kα (weighted mean of Kα1 and Kα2)).
Lines closer than 0.1° are merged.

Structure:
Cell lengths 8.4607, 6.4932, 10.0295 Å; angles 90.00, 94.88, 90.00 degrees
Fractional coordinates of all 52 atoms:
Li1 0.0000 0.0000 0.0000
Li2 0.0006 0.0000 0.4995
Li3 0.1780 0.2265 0.7609
Li4 0.1780 0.7735 0.7609
Li5 0.1794 0.2268 0.2570
Li6 0.1794 0.7732 0.2570
Li7 0.6243 0.2733 0.0092
Li8 0.6243 0.7267 0.0092
Li9 0.6266 0.2717 0.5068
Li10 0.6266 0.7283 0.5068
Li11 0.8026 0.5000 0.2659
Li12 0.8080 0.5000 0.7654
Mn1 0.2411 0.5000 0.4948
Co1 0.2334 0.5000 0.9881
Co2 0.5699 0.0000 0.2779
Co3 0.5707 0.0000 0.7788
P1 0.3153 0.0000 0.0223
P2 0.3147 0.0000 0.5213
P3 0.4877 0.5000 0.2419
P4 0.4917 0.5000 0.7470
C1 0.8640 0.0000 0.2339
C2 0.8647 0.0000 0.7341
C3 0.9340 0.5000 0.5324
C4 0.9401 0.5000 0.0333
O1 0.0095 0.0000 0.2018
O2 0.0101 0.0000 0.7020
O3 0.0474 0.5000 0.6290
O4 0.0568 0.5000 0.1272
O5 0.2108 0.1843 0.4687
O6 0.2111 0.1866 0.9704
O7 0.2111 0.8134 0.9704
O8 0.2108 0.8157 0.4687
O9 0.3214 0.5000 0.2934
O10 0.3221 0.5000 0.7947
O11 0.3350 0.0000 0.1781
O12 0.3360 0.0000 0.6778
O13 0.4687 0.5000 0.0856
O14 0.4763 0.5000 0.5910
O15 0.4819 0.0000 0.4686
O16 0.4816 0.0000 0.9694
O17 0.5916 0.3133 0.2942
O18 0.5916 0.6867 0.2942
O19 0.5935 0.3128 0.7997
O20 0.5935 0.6872 0.7997
O21 0.7468 0.0000 0.1402
O22 0.7471 0.0000 0.6404
O23 0.7873 0.5000 0.5629
O24 0.7943 0.5000 0.0642
O25 0.8294 0.0000 0.3572
O26 0.8302 0.0000 0.8572
O27 0.9689 0.5000 0.4096
O28 0.9759 0.5000 0.9101

The 10 most intense peaks (10° ≤ 2θ ≤ 90°), in order of falling intensity:
| Position (°2θ) | intensity |
| --- | --- |
| 27.47 | 100 |
| 10.49 | 84 |
| 21.43 | 51 |
| 19.87 | 39 |
| 26.48 | 34 |
| 36.64 | 27 |
| 17.24 | 26 |
| 40.60 | 23 |
| 25.49 | 21 |
| 45.25 | 19 |


Entry 7:
For La2MnCoO6, a crystal structure in the Materials Project, relaxed with GGA+U gives the theoretical X-ray powder pattern in this record (Cu Kα (weighted mean of Kα1 and Kα2)).
Lines closer than 0.1° are merged.

Structure:
Cell lengths 5.5301, 5.5301, 5.6082 Å; angles 119.99, 119.99, 59.89 degrees
Fractional coordinates of all 10 atoms:
La1 0.2491 0.2491 0.2415
La2 0.7509 0.7509 0.7585
Mn1 0.5000 0.5000 0.0000
Co1 0.0000 0.0000 0.5000
O1 0.2106 0.7006 0.1976
O2 0.2578 0.2578 0.6783
O3 0.2994 0.7894 0.8024
O4 0.7006 0.2106 0.1976
O5 0.7422 0.7422 0.3217
O6 0.7894 0.2994 0.8024

The 10 most intense peaks (10° ≤ 2θ ≤ 90°), in order of falling intensity:
| Position (°2θ) | intensity |
| --- | --- |
| 32.40 | 100 |
| 32.14 | 68 |
| 46.15 | 41 |
| 57.71 | 34 |
| 31.92 | 31 |
| 46.39 | 19 |
| 22.60 | 18 |
| 39.96 | 17 |
| 57.32 | 15 |
| 56.87 | 14 |


Entry 8:
For Li3MnFe2B3O9, a crystal structure in the Materials Project, relaxed with GGA+U gives the theoretical X-ray powder pattern in this record (Cu Kα (weighted mean of Kα1 and Kα2)).
Lines closer than 0.1° are merged.

Structure:
Cell lengths 8.2664, 3.1483, 14.2960 Å; angles 90.00, 90.01, 90.00 degrees
Fractional coordinates of all 36 atoms:
Li1 0.0000 0.0000 0.0000
Li2 0.0245 0.0000 0.7068
Li3 0.0719 0.0000 0.3433
Li4 0.5002 0.0000 0.5012
Li5 0.5250 0.0000 0.2085
Li6 0.5724 0.0000 0.8396
Mn1 0.1910 0.5000 0.1639
Mn2 0.6736 0.5000 0.0299
Fe1 0.1780 0.5000 0.5300
Fe2 0.2281 0.5000 0.8531
Fe3 0.6896 0.5000 0.6660
Fe4 0.7280 0.5000 0.3544
B1 0.3653 0.0000 0.0148
B2 0.3653 0.0000 0.6834
B3 0.3648 0.5000 0.3511
B4 0.8642 0.0000 0.1844
B5 0.8654 0.0000 0.5169
B6 0.8671 0.5000 0.8494
O1 0.0052 0.5000 0.7937
O2 0.0142 0.0000 0.1405
O3 0.0201 0.0000 0.4781
O4 0.2122 0.5000 0.3100
O5 0.2260 0.0000 0.6287
O6 0.2276 0.0000 0.9588
O7 0.3514 0.0000 0.1121
O8 0.3529 0.0000 0.7805
O9 0.3792 0.5000 0.4482
O10 0.5035 0.5000 0.2956
O11 0.5172 0.0000 0.6412
O12 0.5181 0.0000 0.9740
O13 0.7145 0.5000 0.8076
O14 0.7241 0.0000 0.1309
O15 0.7295 0.0000 0.4590
O16 0.8463 0.0000 0.6138
O17 0.8542 0.0000 0.2817
O18 0.8819 0.5000 0.9463

The 10 most intense peaks (10° ≤ 2θ ≤ 90°), in order of falling intensity:
| Position (°2θ) | intensity |
| --- | --- |
| 21.52 | 100 |
| 35.87 | 78 |
| 37.73 | 32 |
| 47.85 | 28 |
| 53.03 | 25 |
| 54.68 | 17 |
| 31.04 | 16 |
| 33.13 | 16 |
| 43.84 | 15 |
| 66.90 | 13 |


Entry 9:
For LiTiMnO4, a crystal structure in the Materials Project, relaxed with GGA+U gives the theoretical X-ray powder pattern in this record (Cu Kα (weighted mean of Kα1 and Kα2)).
Lines closer than 0.1° are merged.

Structure:
Cell lengths 6.3065, 6.3065, 7.2332 Å; angles 90.00, 90.00, 90.00 degrees
Fractional coordinates of all 28 atoms:
Li1 0.0000 0.2206 0.0000
Li2 0.0000 0.7794 0.5000
Li3 0.2206 0.0000 0.2500
Li4 0.7794 0.0000 0.7500
Ti1 0.2164 0.5000 0.2500
Ti2 0.5000 0.2164 0.0000
Ti3 0.5000 0.7836 0.5000
Ti4 0.7836 0.5000 0.7500
Mn1 0.2583 0.2583 0.6250
Mn2 0.2583 0.7417 0.8750
Mn3 0.7417 0.2583 0.3750
Mn4 0.7417 0.7417 0.1250
O1 0.0334 0.2699 0.2879
O2 0.0334 0.7301 0.2121
O3 0.2656 0.4588 0.9839
O4 0.2656 0.5412 0.5161
O5 0.2699 0.0334 0.9621
O6 0.2699 0.9666 0.5379
O7 0.4588 0.2656 0.2661
O8 0.4588 0.7344 0.2339
O9 0.5412 0.2656 0.7339
O10 0.5412 0.7344 0.7661
O11 0.7301 0.0334 0.0379
O12 0.7301 0.9666 0.4621
O13 0.7344 0.4588 0.0161
O14 0.7344 0.5412 0.4839
O15 0.9666 0.2699 0.7121
O16 0.9666 0.7301 0.7879

The 10 most intense peaks (10° ≤ 2θ ≤ 90°), in order of falling intensity:
| Position (°2θ) | intensity |
| --- | --- |
| 34.12 | 100 |
| 40.04 | 84 |
| 31.86 | 56 |
| 53.93 | 48 |
| 28.30 | 47 |
| 23.44 | 47 |
| 58.57 | 44 |
| 14.04 | 41 |
| 66.58 | 41 |
| 52.39 | 36 |


What did the third record say?
For FeH2C2O6, a crystal structure in the Materials Project, relaxed with GGA+U gives the theoretical X-ray powder pattern in this record (Cu Kα (weighted mean of Kα1 and Kα2)).
Lines closer than 0.1° are merged.

Structure:
Cell lengths 8.4713, 7.1733, 9.3373 Å; angles 90.00, 95.95, 90.00 degrees
Fractional coordinates of all 44 atoms:
Fe1 0.0000 0.0000 0.0000
Fe2 0.0000 0.5000 0.5000
Fe3 0.5000 0.0000 0.5000
Fe4 0.5000 0.5000 0.0000
H1 0.0866 0.2095 0.2707
H2 0.0866 0.2905 0.7707
H3 0.3271 0.5040 0.3667
H4 0.3271 0.9960 0.8667
H5 0.6729 0.0040 0.1333
H6 0.6729 0.4960 0.6333
H7 0.9134 0.7095 0.2293
H8 0.9134 0.7905 0.7293
C1 0.0299 0.7315 0.7697
C2 0.0299 0.7685 0.2697
C3 0.3260 0.1235 0.9337
C4 0.3260 0.3765 0.4337
C5 0.6740 0.6235 0.5663
C6 0.6740 0.8765 0.0663
C7 0.9701 0.2315 0.7303
C8 0.9701 0.2685 0.2303
O1 0.0915 0.6096 0.6943
O2 0.0915 0.8904 0.1943
O3 0.0959 0.7095 0.3898
O4 0.0959 0.7905 0.8898
O5 0.2052 0.1544 0.0009
O6 0.2052 0.3456 0.5009
O7 0.3168 0.0076 0.5959
O8 0.3168 0.4924 0.0959
O9 0.4462 0.2273 0.9330
O10 0.4462 0.2727 0.4330
O11 0.4505 0.5861 0.8185
O12 0.4505 0.9139 0.3185
O13 0.5495 0.0861 0.6815
O14 0.5495 0.4139 0.1815
O15 0.5538 0.7273 0.5670
O16 0.5538 0.7727 0.0670
O17 0.6832 0.5076 0.9041
O18 0.6832 0.9924 0.4041
O19 0.7948 0.6544 0.4991
O20 0.7948 0.8456 0.9991
O21 0.9041 0.2095 0.1102
O22 0.9041 0.2905 0.6102
O23 0.9085 0.1096 0.8057
O24 0.9085 0.3904 0.3057

The 10 most intense peaks (10° ≤ 2θ ≤ 90°), in order of falling intensity:
| Position (°2θ) | intensity |
| --- | --- |
| 19.40 | 100 |
| 18.28 | 93 |
| 21.09 | 41 |
| 19.11 | 39 |
| 34.25 | 20 |
| 34.73 | 18 |
| 26.01 | 18 |
| 40.70 | 14 |
| 31.51 | 13 |
| 24.50 | 11 |